(1)
Theoretical X-ray powder pattern
Compound: Nd6Au5
Radiation: λ = 1.5418 Å (Cu Kα)
Structure: a structure optimized by DFT (GGA-PBE)
No peak broadening, texture or thermal motion is included.

Largest 8 diffraction maxima, low angle first, 15° ≤ 2θ ≤ 90°:
2θ = 34.3°, 2.615 Å, I 100, (2 0 0); 2θ = 34.4°, 2.605 Å, I 20, (0 0 6); 2θ = 49.1°, 1.855 Å, I 7, (0 4 0); 2θ = 49.4°, 1.844 Å, I 14, (2 0 6); 2θ = 61.3°, 1.512 Å, I 15, (2 4 0); 2θ = 61.5°, 1.507 Å, I 30, (3 2 3); 2θ = 72.2°, 1.308 Å, I 9, (2 4 6); 2θ = 82.7°, 1.167 Å, I 10, (4 0 6)

Atomic structure:
```
data_Nd6Au5
_chemical_formula_sum 'Nd12 Au10'
_cell_length_a 5.2203
_cell_length_b 7.4217
_cell_length_c 15.6320
_cell_angle_alpha 90.00
_cell_angle_beta 90.00
_cell_angle_gamma 90.00
_symmetry_space_group_name_H-M 'I m m m'
_symmetry_Int_Tables_number 71
_symmetry_space_group_name_Hall '-I 2 2'
loop_
_atom_site_label
_atom_site_fract_x
_atom_site_fract_y
_atom_site_fract_z
Nd1 0.0000 0.2485 0.0000
Nd2 0.0000 0.2505 0.3340
Au1 0.0000 0.0000 0.1688
Au2 0.0000 0.5000 0.1607
Au3 0.0000 0.5000 0.5000
```


(2)
Theoretical X-ray powder pattern
Compound: Nb2VPtRh5
Radiation: λ = 1.5418 Å (Cu Kα)
Structure: a structure optimized by DFT (GGA-PBE)
No peak broadening, texture or thermal motion is included.

Largest 8 diffraction maxima, low angle first, 15° ≤ 2θ ≤ 90°:
2θ = 16.9°, 5.249 Å, I 24, (1 1 0); 2θ = 23.4°, 3.794 Å, I 17, (1 1 2); 2θ = 34.2°, 2.624 Å, I 71, (2 2 0); 2θ = 36.5°, 2.459 Å, I 47, (2 1 3); 2θ = 40.9°, 2.207 Å, I 100, (2 0 4); 2θ = 41.9°, 2.158 Å, I 39, (3 1 2); 2θ = 44.8°, 2.023 Å, I 18, (3 2 1); 2θ = 65.7°, 1.420 Å, I 24, (4 2 4)

Atomic structure:
```
data_Nb2VPtRh5
_chemical_formula_sum 'Nb8 V4 Pt4 Rh20'
_cell_length_a 7.4229
_cell_length_b 7.4229
_cell_length_c 10.9788
_cell_angle_alpha 90.00
_cell_angle_beta 90.00
_cell_angle_gamma 90.00
_symmetry_space_group_name_H-M 'I 4/m c m'
_symmetry_Int_Tables_number 140
_symmetry_space_group_name_Hall '-I 4 2c'
loop_
_atom_site_label
_atom_site_fract_x
_atom_site_fract_y
_atom_site_fract_z
Nb1 0.1191 0.3809 0.0000
V1 0.0000 0.0000 0.2500
Pt1 0.0000 0.5000 0.2500
Rh1 0.0000 0.0000 0.0000
Rh2 0.2082 0.2918 0.3659
```


(3)
Theoretical X-ray powder pattern
Compound: LaMg14Nb
Radiation: λ = 1.5418 Å (Cu Kα)
Structure: a structure optimized by DFT (GGA-PBE)
No peak broadening, texture or thermal motion is included.

Largest 8 diffraction maxima, low angle first, 15° ≤ 2θ ≤ 90°:
2θ = 15.7°, 5.640 Å, I 50, (1 0 0); 2θ = 23.5°, 3.790 Å, I 37, (1 0 2); 2θ = 31.7°, 2.820 Å, I 30, (2 0 0); 2θ = 35.1°, 2.559 Å, I 23, (0 0 4); 2θ = 36.4°, 2.470 Å, I 100, (2 0 2); 2θ = 48.0°, 1.895 Å, I 19, (2 0 4); 2θ = 56.5°, 1.628 Å, I 17, (2 2 0); 2θ = 68.3°, 1.374 Å, I 18, (2 2 4)

Atomic structure:
```
data_LaMg14Nb
_chemical_formula_sum 'La1 Mg14 Nb1'
_cell_length_a 6.5129
_cell_length_b 6.5129
_cell_length_c 10.2353
_cell_angle_alpha 90.00
_cell_angle_beta 90.00
_cell_angle_gamma 120.00
_symmetry_space_group_name_H-M 'P -6 m 2'
_symmetry_Int_Tables_number 187
_symmetry_space_group_name_Hall 'P -6 2'
loop_
_atom_site_label
_atom_site_fract_x
_atom_site_fract_y
_atom_site_fract_z
La1 0.0000 0.0000 0.0000
Mg1 0.0162 0.5081 0.0000
Mg2 0.1645 0.3289 0.2654
Mg3 0.5026 0.0051 0.5000
Mg4 0.6667 0.3333 0.2363
Nb1 0.0000 0.0000 0.5000
```